Record 1
SmFe12N: theoretical powder XRD pattern (Cu Kα (weighted mean of Kα1 and Kα2)), based on a cell relaxed with GGA-PBE.

Largest 10 diffraction maxima, low angle first, 10° ≤ 2θ ≤ 80°:
- 29.8 deg, rel. 31.9
- 36.7 deg, rel. 44.5
- 37.1 deg, rel. 20.2
- 42.5 deg, rel. 65.6
- 42.6 deg, rel. 100.0
- 42.9 deg, rel. 83.0
- 48.2 deg, rel. 26.1
- 70.6 deg, rel. 20.8
- 77.8 deg, rel. 19.0
- 78.0 deg, rel. 19.5

Cell and atoms:
```
SmFe12N
1.0
-4.2584 4.2584 2.4263
4.2584 -4.2584 2.4263
4.2584 4.2584 -2.4263
Sm Fe N
1 12 1
Cartesian
0.0000 0.0000 0.0000
2.1292 2.1292 -1.2131
3.0711 0.0000 0.0000
2.1292 -2.1292 1.2131
5.4456 0.0000 0.0000
4.2584 2.3381 0.0000
0.0000 3.0711 0.0000
-2.1292 2.1292 1.2131
2.3381 4.2584 0.0000
2.1292 2.1292 1.2131
1.9202 0.0000 2.4263
0.0000 5.4456 0.0000
0.0000 1.9202 2.4263
0.0000 0.0000 2.4263
```

---

Record 2
Sb8O11F2: theoretical powder XRD pattern (Cu Kα (weighted mean of Kα1 and Kα2)), based on a cell relaxed with GGA-PBE.

Largest 10 diffraction maxima, low angle first, 10° ≤ 2θ ≤ 80°:
- 20.0 deg, rel. 53.5
- 20.2 deg, rel. 76.4
- 23.3 deg, rel. 25.6
- 23.5 deg, rel. 33.0
- 26.3 deg, rel. 100.0
- 27.2 deg, rel. 40.4
- 29.1 deg, rel. 41.5
- 31.7 deg, rel. 38.9
- 34.8 deg, rel. 30.9
- 44.0 deg, rel. 23.6

Cell and atoms:
```
Sb8O11F2
1.0
11.4647 0.0000 0.0000
0.0000 4.2326 0.0000
-2.8883 0.0000 17.6122
Sb O F
16 22 4
Cartesian
-0.5268 0.7561 7.6602
-1.9710 1.3602 16.4663
-0.6227 0.1697 13.4778
0.8215 1.9466 4.6717
2.1896 3.1278 9.3950
3.6338 3.2212 0.5889
1.9297 2.4144 12.9520
3.3739 3.9345 4.1459
5.2025 0.2981 13.4663
6.6466 1.8182 4.6602
4.9425 1.0115 17.0233
6.3867 1.1049 8.2172
7.7548 2.2860 12.9405
9.1990 4.0629 4.1344
10.5473 2.8724 1.1459
9.1032 3.4765 9.9520
0.0000 0.0000 0.0000
-1.4442 2.1163 8.8061
-0.8463 0.0462 15.4585
0.5978 2.0701 6.6524
-0.0012 2.3642 13.5986
1.4430 3.9848 4.7925
0.9280 0.3846 8.9666
2.3722 1.7317 0.1604
1.3131 2.5965 11.0778
2.7573 3.7524 2.2716
1.3709 0.2688 13.2567
2.8151 1.8475 4.4506
5.7613 2.3852 13.1616
7.2054 3.9638 4.3555
5.8190 0.4802 15.3406
7.2632 1.6361 6.5345
6.2041 2.5009 17.4518
7.6483 3.8480 8.6457
7.1334 0.2478 12.8197
8.5775 1.8685 4.0136
7.9785 2.1625 10.9598
9.4227 4.1864 2.1537
3.4347 0.1617 10.3204
4.8788 1.9547 1.5142
3.6975 2.2780 16.0980
5.1417 4.0710 7.2919
```

---

Record 3
Ac4RuRh: theoretical powder XRD pattern (Cu Kα (weighted mean of Kα1 and Kα2)), based on a cell relaxed with GGA-PBE.

Largest 10 diffraction maxima, low angle first, 10° ≤ 2θ ≤ 80°:
- 25.4 deg, rel. 59.9
- 26.3 deg, rel. 56.5
- 29.7 deg, rel. 100.0
- 30.3 deg, rel. 51.3
- 41.3 deg, rel. 22.4
- 43.0 deg, rel. 74.5
- 49.7 deg, rel. 21.1
- 51.3 deg, rel. 20.7
- 52.1 deg, rel. 23.0
- 71.2 deg, rel. 17.0

Cell and atoms:
```
Ac4RuRh
1.0
4.3704 -8.2692 0.0000
4.3704 8.2692 0.0000
-4.3683 0.0000 5.8978
Ac Ru Rh
8 2 2
Cartesian
1.0549 3.1746 1.4546
-1.0931 0.8759 4.4001
1.0910 -0.8759 1.4511
-1.1293 -3.1746 4.4035
5.5019 3.1746 1.4943
3.2816 0.8759 4.4467
5.4658 -0.8759 1.4978
3.3178 -3.1746 4.4433
1.0943 6.8749 4.4234
3.2784 -6.8749 1.4745
3.2784 1.3231 1.4745
1.0943 -1.3231 4.4234
```

---

Record 4
InCo2S4: theoretical powder XRD pattern (Cu Kα (weighted mean of Kα1 and Kα2)), based on a cell relaxed with GGA-PBE.

Largest 10 diffraction maxima, low angle first, 10° ≤ 2θ ≤ 80°:
- 24.7 deg, rel. 33.6
- 26.7 deg, rel. 29.7
- 31.5 deg, rel. 19.5
- 31.7 deg, rel. 100.0
- 41.1 deg, rel. 26.2
- 46.9 deg, rel. 27.5
- 48.1 deg, rel. 22.2
- 50.6 deg, rel. 29.6
- 51.3 deg, rel. 15.4
- 64.4 deg, rel. 11.7

Cell and atoms:
```
InCo2S4
1.0
-3.2479 3.2479 5.8362
3.2479 -3.2479 5.8362
3.2479 3.2479 -5.8362
In Co S
2 4 8
Cartesian
0.0000 1.6239 1.4591
3.2479 1.6239 4.3772
1.6239 1.6239 -2.9181
1.6239 -1.6239 2.9181
3.2479 0.0000 0.0000
0.0000 0.0000 5.8362
1.3875 0.6343 -0.9541
2.2583 0.2365 1.9640
1.8604 -0.6343 4.8821
2.2583 3.4844 -1.9640
0.9896 -0.2365 7.8003
1.3875 3.8822 0.9541
0.9896 3.0114 3.8722
1.8604 2.6135 6.7903
```

---

Record 5
Sc5WC4: theoretical powder XRD pattern (Cu Kα (weighted mean of Kα1 and Kα2)), based on a cell relaxed with GGA-PBE.

Largest 10 diffraction maxima, low angle first, 10° ≤ 2θ ≤ 80°:
- 13.4 deg, rel. 100.0
- 15.3 deg, rel. 44.4
- 27.1 deg, rel. 29.5
- 29.6 deg, rel. 16.3
- 33.5 deg, rel. 34.4
- 36.1 deg, rel. 26.2
- 36.4 deg, rel. 25.1
- 38.4 deg, rel. 27.0
- 43.3 deg, rel. 27.0
- 43.9 deg, rel. 28.0

Cell and atoms:
```
Sc5WC4
1.0
-1.6272 4.0011 5.7919
1.6272 -4.0011 5.7919
1.6272 4.0011 -5.7919
Sc W C
5 1 4
Cartesian
0.0000 0.0000 0.0000
1.6272 -1.5524 4.1394
0.0000 2.4487 1.6525
1.6272 1.5524 4.1394
0.0000 5.5536 1.6525
0.0000 0.0000 5.7919
1.6272 1.7431 0.0000
0.0000 0.0000 3.5865
0.0000 0.0000 7.9972
0.0000 2.2580 5.7919
```

---

Record 6
Zr7Ir2Au2: theoretical powder XRD pattern (Cu Kα (weighted mean of Kα1 and Kα2)), based on a cell relaxed with GGA-PBE.

Largest 10 diffraction maxima, low angle first, 10° ≤ 2θ ≤ 80°:
- 22.5 deg, rel. 81.5
- 26.7 deg, rel. 71.9
- 31.1 deg, rel. 26.9
- 35.7 deg, rel. 19.4
- 36.1 deg, rel. 53.9
- 38.4 deg, rel. 18.5
- 40.4 deg, rel. 100.0
- 40.5 deg, rel. 38.7
- 45.4 deg, rel. 25.4
- 46.5 deg, rel. 42.2

Cell and atoms:
```
Zr7Ir2Au2
1.0
3.8972 -4.9808 0.0000
3.8972 4.9808 0.0000
0.0000 0.0000 6.5142
Zr Ir Au
7 2 2
Cartesian
0.0000 0.0000 0.0000
1.9486 2.4904 1.7039
1.9486 2.4904 4.8103
1.9486 -2.4904 1.7039
1.9486 -2.4904 4.8103
3.8972 0.0000 1.6858
3.8972 0.0000 4.8283
3.8972 2.1886 0.0000
3.8972 -2.1886 0.0000
1.3814 0.0000 3.2571
6.4129 0.0000 3.2571
```

---

Record 7
La3Tb2CeAs6: theoretical powder XRD pattern (Cu Kα (weighted mean of Kα1 and Kα2)), based on a cell relaxed with GGA-PBE.

Largest 10 diffraction maxima, low angle first, 10° ≤ 2θ ≤ 80°:
- 25.5 deg, rel. 17.4
- 29.6 deg, rel. 100.0
- 42.3 deg, rel. 74.9
- 50.1 deg, rel. 6.5
- 52.4 deg, rel. 6.5
- 52.5 deg, rel. 19.9
- 61.4 deg, rel. 12.3
- 69.6 deg, rel. 16.5
- 69.7 deg, rel. 17.0
- 77.5 deg, rel. 18.8

Cell and atoms:
```
La3Tb2CeAs6
1.0
3.6954 -6.3998 0.0000
3.6954 6.3998 0.0000
-2.4626 0.0000 6.9849
La Tb Ce As
3 2 1 6
Cartesian
0.0000 0.0000 0.0000
3.6954 2.1334 0.0000
3.6954 -2.1334 0.0000
2.4641 4.2679 3.4925
2.4641 -4.2679 3.4925
2.4641 0.0000 3.4925
1.2322 2.1336 1.8298
0.0009 0.0000 5.1514
1.2322 -2.1336 1.8298
3.6960 2.1336 5.1551
4.9273 0.0000 1.8335
3.6960 -2.1336 5.1551
```

---

Record 8
Li3CuOF3: theoretical powder XRD pattern (Cu Kα (weighted mean of Kα1 and Kα2)), based on a cell relaxed with GGA-PBE.

Largest 10 diffraction maxima, low angle first, 10° ≤ 2θ ≤ 80°:
- 19.3 deg, rel. 80.0
- 29.2 deg, rel. 50.7
- 31.8 deg, rel. 52.2
- 33.3 deg, rel. 80.0
- 39.2 deg, rel. 72.1
- 43.7 deg, rel. 59.5
- 45.6 deg, rel. 100.0
- 55.0 deg, rel. 29.5
- 61.7 deg, rel. 62.3
- 66.4 deg, rel. 26.6

Cell and atoms:
```
Li3CuOF3
1.0
2.8153 0.0000 0.0000
0.0000 2.8153 0.0000
0.0000 0.0000 9.1817
Li Cu O F
3 1 1 3
Cartesian
0.0000 0.0000 0.0000
1.4077 1.4077 2.0815
1.4077 1.4077 7.1002
0.0000 0.0000 4.5909
1.4077 1.4077 4.5909
0.0000 0.0000 2.0700
0.0000 0.0000 7.1118
1.4077 1.4077 0.0000
```